[1]
Structure and calculated powder X-ray diffraction pattern of ErAlCrGe2 (a DFT-relaxed cell (PBE, Alexandria); Cu Kα (weighted mean of Kα1 and Kα2)).
Peak positions follow from Bragg's law for the DFT cell and can differ from measured ones.

```
data_ErAlCrGe2
_cell_length_a 5.3978
_cell_length_b 5.6545
_cell_length_c 5.7768
_cell_angle_alpha 90.00
_cell_angle_beta 90.00
_cell_angle_gamma 90.00
_space_group_name_H-M_alt 'P m m a'
_space_group_IT_number 51
loop_
_space_group_symop_operation_xyz
'x,y,z'
'-x,-y,-z'
'-x+1/2,-y,z'
'x+1/2,y,-z'
'x+1/2,-y,-z'
'-x+1/2,y,z'
'-x,y,-z'
'x,-y,z'
loop_
_atom_site_label
_atom_site_type_symbol
_atom_site_fract_x
_atom_site_fract_y
_atom_site_fract_z
Er1 Er 0.2500 0.0000 0.2161
Al1 Al 0.2500 0.5000 0.3685
Cr1 Cr 0.0000 0.5000 0.0000
Ge1 Ge 0.2500 0.2350 0.7373
```

Top 6 peaks for 2θ = 10–90°, in order of rising 2θ:
hkl 1 1 1, 3.235 Å, 2θ 27.57, I = 38
hkl 0 0 2, 2.888 Å, 2θ 30.96, I = 27
hkl 2 0 0, 2.699 Å, 2θ 33.19, I = 30
hkl 0 1 2, 2.572 Å, 2θ 34.88, I = 30
hkl 1 2 1, 2.298 Å, 2θ 39.21, I = 100
hkl 2 0 2, 1.972 Å, 2θ 46.03, I = 37

---

[2]
Structure and calculated powder X-ray diffraction pattern of Sm2Er3Hg4 (a DFT-relaxed cell (PBE, Alexandria); Cu Kα (weighted mean of Kα1 and Kα2)).
Peak positions follow from Bragg's law for the DFT cell and can differ from measured ones.

```
data_Sm2Er3Hg4
_cell_length_a 6.9523
_cell_length_b 17.8109
_cell_length_c 8.0972
_cell_angle_alpha 90.00
_cell_angle_beta 90.00
_cell_angle_gamma 90.00
_space_group_name_H-M_alt 'C m c e'
_space_group_IT_number 64
_space_group_name_Hall '-C 2ac 2'
loop_
_atom_site_label
_atom_site_type_symbol
_atom_site_fract_x
_atom_site_fract_y
_atom_site_fract_z
Sm1 Sm 0.0000 0.0957 0.0902
Er1 Er 0.0000 0.0000 0.5000
Er2 Er 0.2500 0.2384 0.7500
Hg1 Hg 0.0000 0.1680 0.4701
Hg2 Hg 0.2500 0.0657 0.7500
```

Top 6 peaks for 2θ = 10–90°, in order of rising 2θ:
hkl 2 2 1, 3.008 Å, 2θ 29.70, I = 56
hkl 1 5 1, 2.952 Å, 2θ 30.28, I = 55
hkl 2 0 2, 2.637 Å, 2θ 33.99, I = 100
hkl 0 2 3, 2.583 Å, 2θ 34.73, I = 31
hkl 0 6 2, 2.394 Å, 2θ 37.57, I = 42
hkl 2 6 4, 1.507 Å, 2θ 61.53, I = 29

---

[3]
Structure and calculated powder X-ray diffraction pattern of FeRu2 (a DFT-relaxed cell (PBE, Alexandria); Cu Kα (weighted mean of Kα1 and Kα2)).
Peak positions follow from Bragg's law for the DFT cell and can differ from measured ones.

```
data_FeRu2
_cell_length_a 9.5447
_cell_length_b 2.6682
_cell_length_c 6.2033
_cell_angle_alpha 90.00
_cell_angle_beta 103.85
_cell_angle_gamma 90.00
_space_group_name_H-M_alt 'C 1 2/m 1'
_space_group_IT_number 12
loop_
_space_group_symop_operation_xyz
'x,y,z'
'-x,-y,-z'
'-x,y,-z'
'x,-y,z'
'x+1/2,y+1/2,z'
'-x+1/2,-y+1/2,-z'
'-x+1/2,y+1/2,-z'
'x+1/2,-y+1/2,z'
loop_
_atom_site_label
_atom_site_type_symbol
_atom_site_fract_x
_atom_site_fract_y
_atom_site_fract_z
Fe1 Fe 0.0294 0.0000 0.3096
Ru1 Ru 0.1363 0.5000 0.0312
Ru2 Ru 0.1879 0.5000 0.6350
```

Top 6 peaks for 2θ = 10–90°, in order of rising 2θ:
hkl 1 1 1, 2.305 Å, 2θ 39.08, I = 23
hkl 4 0 -2, 2.095 Å, 2θ 43.19, I = 36
hkl 3 1 0, 2.019 Å, 2θ 44.89, I = 100
hkl 0 0 3, 2.008 Å, 2θ 45.16, I = 23
hkl 4 0 1, 2.007 Å, 2θ 45.17, I = 23
hkl 1 1 -5, 1.119 Å, 2θ 87.09, I = 18